V6RuPt: computed PXRD pattern (λ = 1.5418 Å (Cu Kα)), based on a crystal structure in Alexandria, relaxed with GGA-PBE.
Lines closer than 0.1° are merged.

Principal peaks in the range 2θ = 15–90°, in order of rising 2θ:
| 2θ/deg | intensity |
| --- | --- |
| 17.43 | 14 |
| 25.41 | 21 |
| 27.23 | 15 |
| 40.54 | 31 |
| 41.28 | 100 |
| 42.24 | 30 |
| 50.31 | 20 |
| 52.18 | 18 |

Atomic structure:
```
V6RuPt
1.0
2.556 -5.089 0.000
2.556 5.089 0.000
-1.110 0.000 4.279
V Ru Pt
6 1 1
Cartesian
0.000 0.000 0.000
0.658 1.236 2.087
1.303 -2.562 0.025
2.001 -1.372 2.140
3.344 1.236 2.192
2.699 -2.562 4.254
2.001 3.727 2.140
2.556 0.033 0.000
```

Ru2PtW2: computed PXRD pattern (λ = 1.5418 Å (Cu Kα)), based on a crystal structure in Alexandria, relaxed with GGA-PBE.
Lines closer than 0.1° are merged.

Principal peaks in the range 2θ = 15–90°, in order of rising 2θ:
| 2θ/deg | intensity |
| --- | --- |
| 36.70 | 62 |
| 39.64 | 100 |
| 42.07 | 47 |
| 45.37 | 33 |
| 46.30 | 69 |
| 63.07 | 24 |
| 70.50 | 21 |
| 80.34 | 26 |

Atomic structure:
```
Ru2PtW2
1.0
1.382 -9.994 0.000
1.382 9.994 0.000
0.000 0.000 2.810
Ru Pt W
2 1 2
Cartesian
1.382 6.122 0.000
1.382 -6.122 0.000
0.000 0.000 0.000
1.382 2.064 1.405
1.382 -2.064 1.405
```

RuPtW2: computed PXRD pattern (λ = 1.5418 Å (Cu Kα)), based on a crystal structure in Alexandria, relaxed with GGA-PBE.
Lines closer than 0.1° are merged.

Principal peaks in the range 2θ = 15–90°, in order of rising 2θ:
| 2θ/deg | intensity |
| --- | --- |
| 39.66 | 100 |
| 45.93 | 17 |
| 46.22 | 32 |
| 67.20 | 21 |
| 67.43 | 11 |
| 80.74 | 13 |
| 81.17 | 26 |
| 85.45 | 11 |

Atomic structure:
```
RuPtW2
1.0
-1.964 1.964 3.952
1.964 -1.964 3.952
1.964 1.964 -3.952
Ru Pt W
1 1 2
Cartesian
0.000 0.000 0.000
0.000 0.000 3.952
1.964 0.000 1.976
0.000 1.964 1.976
```